1.
Theoretical X-ray diffraction stick pattern
Compound: La2Pm2Pr4Tm
Radiation: λ = 1.5418 Å (Cu Kα)
Structure: a GGA-PBE-relaxed structure
Intensities are scaled so that the largest is 100.

Structure:
Lattice parameters (Å, degrees): 9.796 9.796 9.879 114.95 114.95 21.88
Fractional positions:
La 0.165 0.165 0.499
La 0.835 0.835 0.501
Pm 0.352 0.352 0.832
Pm 0.648 0.648 0.168
Pr 0.018 0.018 0.830
Pr 0.315 0.315 0.167
Pr 0.685 0.685 0.833
Pr 0.982 0.982 0.170
Tm 0.500 0.500 0.500

Peak list (6 most intense, 15 to 90 degrees two-theta, most intense first)
2θ = 30.87°, I 100; 2θ = 32.45°, I 57; 2θ = 30.05°, I 49; 2θ = 27.97°, I 36; 2θ = 32.61°, I 27; 2θ = 49.17°, I 25

=====

2.
Theoretical X-ray diffraction stick pattern
Compound: La4PmPr2Tm
Radiation: λ = 1.5418 Å (Cu Kα)
Structure: a GGA-PBE-relaxed structure
Intensities are scaled so that the largest is 100.

Structure:
Lattice parameters (Å, degrees): 5.228 5.259 10.334 90.00 90.00 90.00
Fractional positions:
La 0.000 0.000 0.248
La 0.000 0.000 0.752
La 0.500 0.500 0.248
La 0.500 0.500 0.752
Pm 0.000 0.500 0.500
Pr 0.000 0.500 0.000
Pr 0.500 0.000 0.500
Tm 0.500 0.000 0.000

Peak list (6 most intense, 15 to 90 degrees two-theta, most intense first)
2θ = 29.66°, I 100; 2θ = 34.10°, I 17; 2θ = 34.31°, I 17; 2θ = 34.72°, I 16; 2θ = 58.32°, I 15; 2θ = 58.60°, I 15

=====

3.
Theoretical X-ray diffraction stick pattern
Compound: La3Pm6PrTm2
Radiation: λ = 1.5418 Å (Cu Kα)
Structure: a GGA-PBE-relaxed structure
Intensities are scaled so that the largest is 100.

Structure:
Lattice parameters (Å, degrees): 6.324 6.324 12.140 95.00 95.00 120.02
Fractional positions:
La 0.000 0.000 0.000
La 0.333 0.667 0.000
La 0.667 0.333 0.000
Pm 0.083 0.418 0.255
Pm 0.247 0.247 0.745
Pm 0.418 0.083 0.255
Pm 0.582 0.917 0.745
Pm 0.753 0.753 0.255
Pm 0.917 0.582 0.745
Pr 0.500 0.500 0.500
Tm 0.167 0.833 0.500
Tm 0.833 0.167 0.500

Peak list (6 most intense, 15 to 90 degrees two-theta, most intense first)
2θ = 29.95°, I 100; 2θ = 34.72°, I 51; 2θ = 59.32°, I 32; 2θ = 49.89°, I 24; 2θ = 49.97°, I 12; 2θ = 62.28°, I 9